Ba4IrCl3: calculated powder diffractogram (Cu Kα), based on the GGA-PBE geometry in Alexandria.

Crystal structure
abc: 8.2959 9.4532 7.9212
angles: 90.00 109.73 90.00
Fractional positions:
Ba 0.2214 0.1056 0.4964
Ba 0.2214 0.8944 0.9964
Ba 0.2319 0.3486 0.9726
Ba 0.2319 0.6514 0.4726
Ba 0.7681 0.3486 0.5274
Ba 0.7681 0.6514 0.0274
Ba 0.7786 0.1056 0.0036
Ba 0.7786 0.8944 0.5036
Ir 0.0000 0.1289 0.7500
Ir 0.0000 0.8711 0.2500
Cl 0.0000 0.3927 0.2500
Cl 0.0000 0.6073 0.7500
Cl 0.5000 0.1438 0.2500
Cl 0.5000 0.3982 0.7500
Cl 0.5000 0.6018 0.2500
Cl 0.5000 0.8562 0.7500

Most intense lines, 2θ = 10–90°, by intensity:
2θ (°)  I_rel  index
26.9  100  2 0 -2
37.7  25  3 2 -1
39.1  23  1 2 -3
11.3  19  1 0 0
38.6  12  2 0 2
47.2  11  2 4 -2
38.1  11  0 4 0
16.3  10  1 1 -1
61.7  9  5 2 -3
15.1  8  0 1 1
14.7  7  1 1 0
63.7  7  3 2 -5